Entry 1:
This entry pairs a crystal structure of Mn3AlNi3 with its theoretical powder XRD pattern. Radiation: Cu Kα (λ = 1.5418 Å). Structure: a PBE-relaxed structure.
No peak broadening, texture or thermal motion is included.

Structural model:
```
data_Mn3AlNi3
_cell_length_a 8.2291
_cell_length_b 8.3587
_cell_length_c 5.4559
_cell_angle_alpha 90.00
_cell_angle_beta 90.00
_cell_angle_gamma 90.00
_space_group_name_H-M_alt 'C m m m'
_space_group_IT_number 65
_space_group_name_Hall '-C 2 2'
loop_
_atom_site_label
_atom_site_type_symbol
_atom_site_fract_x
_atom_site_fract_y
_atom_site_fract_z
Mn1 Mn 0.0000 0.2423 0.0000
Mn2 Mn 0.2304 0.0000 0.5000
Mn3 Mn 0.2386 0.0000 0.0000
Al1 Al 0.0000 0.2439 0.5000
Ni1 Ni 0.0000 0.5000 0.2505
Ni2 Ni 0.2500 0.2500 0.2509
```

Top 10 peaks for 2θ from 10° to 90°, low angle first:
2θ (°)	I/Imax	(hkl)
15.11	15	1 1 0
21.60	11	2 0 0
36.32	8	1 1 2
43.30	29	0 4 0
44.01	27	4 0 0
45.41	100	2 2 2
63.45	16	4 4 0
80.93	16	2 6 2
81.93	14	6 2 2
84.90	7	0 4 4

=====

Entry 2:
This entry pairs a crystal structure of PrAlIr with its theoretical powder XRD pattern. Radiation: Cu Kα (λ = 1.5418 Å). Structure: a PBE-relaxed structure.
No peak broadening, texture or thermal motion is included.

Structural model:
```
data_PrAlIr
_cell_length_a 4.3219
_cell_length_b 4.3219
_cell_length_c 4.1412
_cell_angle_alpha 90.00
_cell_angle_beta 90.00
_cell_angle_gamma 120.00
_space_group_name_H-M_alt 'P -6 m 2'
_space_group_IT_number 187
_space_group_name_Hall 'P -6 2'
loop_
_atom_site_label
_atom_site_type_symbol
_atom_site_fract_x
_atom_site_fract_y
_atom_site_fract_z
Pr1 Pr 0.0000 0.0000 0.0000
Al1 Al 0.6667 0.3333 0.5000
Ir1 Ir 0.3333 0.6667 0.5000
```

Top 10 peaks for 2θ from 10° to 90°, low angle first:
2θ (°)	I/Imax	(hkl)
23.77	27	1 0 0
32.24	100	1 0 1
41.80	38	1 1 0
43.72	11	0 0 2
50.36	7	1 0 2
53.75	24	2 0 1
62.08	24	1 1 2
70.32	21	2 1 1
73.06	10	1 0 3
76.33	7	3 0 0

=====

Entry 3:
This entry pairs a crystal structure of Pm5Sm5Tm with its theoretical powder XRD pattern. Radiation: Cu Kα (λ = 1.5418 Å). Structure: a PBE-relaxed structure.
No peak broadening, texture or thermal motion is included.

Structural model:
```
data_Pm5Sm5Tm
_cell_length_a 6.1769
_cell_length_b 6.1769
_cell_length_c 11.6128
_cell_angle_alpha 90.00
_cell_angle_beta 90.00
_cell_angle_gamma 120.00
_space_group_name_H-M_alt 'P -6 m 2'
_space_group_IT_number 187
_space_group_name_Hall 'P -6 2'
loop_
_atom_site_label
_atom_site_type_symbol
_atom_site_fract_x
_atom_site_fract_y
_atom_site_fract_z
Pm1 Pm 0.0000 0.0000 0.2363
Pm2 Pm 0.3389 0.1695 0.0000
Sm1 Sm 0.0000 0.0000 0.5000
Sm2 Sm 0.3333 0.6667 0.1842
Sm3 Sm 0.6667 0.3333 0.3430
Tm1 Tm 0.3333 0.6667 0.5000
```

Top 10 peaks for 2θ from 10° to 90°, low angle first:
2θ (°)	I/Imax	(hkl)
28.46	100	1 0 3
28.91	89	1 1 0
29.94	34	1 1 1
34.41	29	2 0 1
35.17	28	1 0 4
37.00	23	2 0 2
37.24	22	1 1 3
46.15	23	2 0 4
50.96	38	2 1 3
59.90	27	2 2 0